[1]
Starting from the PBE geometry in Alexandria, the XRD peak list of Tc3NiHg was simulated for a wavelength of 1.5418 Å.

Largest 10 diffraction maxima, sorted by position, 10° ≤ 2θ ≤ 80°:
2θ = 19.86°, rel. 1.2; 2θ = 28.23°, rel. 36.2; 2θ = 34.75°, rel. 100.0; 2θ = 40.35°, rel. 83.6; 2θ = 45.36°, rel. 1.1; 2θ = 49.97°, rel. 15.6; 2θ = 58.38°, rel. 55.6; 2θ = 66.09°, rel. 6.8; 2θ = 69.76°, rel. 39.5; 2θ = 73.36°, rel. 18.6

```
data_Tc3NiHg
_chemical_formula_sum 'Tc3 Ni1 Hg1'
_space_group_name_H-M_alt 'P m -3 m'
_space_group_IT_number 221
_space_group_name_Hall '-P 4 2 3'
_cell_length_a 4.471
_cell_length_b 4.471
_cell_length_c 4.471
_cell_angle_alpha 90.00
_cell_angle_beta 90.00
_cell_angle_gamma 90.00
loop_
_atom_site_label
_atom_site_fract_x
_atom_site_fract_y
_atom_site_fract_z
Tc1 0.000 0.000 0.500
Ni1 0.000 0.000 0.000
Hg1 0.500 0.500 0.500
```


[2]
Starting from the PBE geometry in Alexandria, the XRD peak list of HoLuTlNi was simulated for a wavelength of 1.5418 Å.

Largest 10 diffraction maxima, sorted by position, 10° ≤ 2θ ≤ 80°:
2θ = 21.55°, rel. 11.4; 2θ = 24.94°, rel. 1.7; 2θ = 35.56°, rel. 100.0; 2θ = 41.96°, rel. 6.5; 2θ = 51.17°, rel. 17.8; 2θ = 56.14°, rel. 2.9; 2θ = 63.86°, rel. 36.6; 2θ = 68.24°, rel. 2.2; 2θ = 75.28°, rel. 11.3; 2θ = 79.39°, rel. 2.3

```
data_HoLuTlNi
_chemical_formula_sum 'Ho4 Lu4 Tl4 Ni4'
_space_group_name_H-M_alt 'F -4 3 m'
_space_group_IT_number 216
_space_group_name_Hall 'F -4 2 3'
_cell_length_a 7.141
_cell_length_b 7.141
_cell_length_c 7.141
_cell_angle_alpha 90.00
_cell_angle_beta 90.00
_cell_angle_gamma 90.00
loop_
_atom_site_label
_atom_site_fract_x
_atom_site_fract_y
_atom_site_fract_z
Ho1 0.000 0.000 0.000
Lu1 0.000 0.000 0.500
Tl1 0.250 0.250 0.750
Ni1 0.250 0.250 0.250
```


What did the first record say?
Starting from the PBE geometry in Alexandria, the XRD peak list of Tc3NiHg was simulated for a wavelength of 1.5418 Å.

Largest 10 diffraction maxima, sorted by position, 10° ≤ 2θ ≤ 80°:
2θ = 19.86°, rel. 1.2; 2θ = 28.23°, rel. 36.2; 2θ = 34.75°, rel. 100.0; 2θ = 40.35°, rel. 83.6; 2θ = 45.36°, rel. 1.1; 2θ = 49.97°, rel. 15.6; 2θ = 58.38°, rel. 55.6; 2θ = 66.09°, rel. 6.8; 2θ = 69.76°, rel. 39.5; 2θ = 73.36°, rel. 18.6

```
data_Tc3NiHg
_chemical_formula_sum 'Tc3 Ni1 Hg1'
_space_group_name_H-M_alt 'P m -3 m'
_space_group_IT_number 221
_space_group_name_Hall '-P 4 2 3'
_cell_length_a 4.471
_cell_length_b 4.471
_cell_length_c 4.471
_cell_angle_alpha 90.00
_cell_angle_beta 90.00
_cell_angle_gamma 90.00
loop_
_atom_site_label
_atom_site_fract_x
_atom_site_fract_y
_atom_site_fract_z
Tc1 0.000 0.000 0.500
Ni1 0.000 0.000 0.000
Hg1 0.500 0.500 0.500
```